Record 1
Computed powder diffraction line list of Hf3GeO8 for Cu Kα (λ = 1.5418 Å), from a DFT-relaxed cell (PBE, the Materials Project).
Lines closer than 0.1° are merged.

Most intense lines, 2θ from 10° to 90°, by angle:
2θ 30.5, rel. 100.0; 2θ 35.9, rel. 21.5; 2θ 50.4, rel. 30.5; 2θ 51.7, rel. 15.1; 2θ 59.0, rel. 15.8; 2θ 61.2, rel. 28.3

Structural model:
```
Hf3GeO8
1.0
-2.502 2.502 5.238
2.502 -2.502 5.238
2.502 2.502 -5.238
Hf Ge O
3 1 8
Direct
0.000 0.000 0.000 Hf
0.250 0.750 0.500 Hf
0.750 0.250 0.500 Hf
0.500 0.500 0.000 Ge
0.040 0.642 0.000 O
0.195 0.195 0.569 O
0.358 0.358 0.398 O
0.374 0.805 0.000 O
0.626 0.626 0.431 O
0.642 0.040 0.000 O
0.805 0.374 0.000 O
0.960 0.960 0.602 O
```

***

Record 2
Computed powder diffraction line list of HfGeOs for Cu Kα (λ = 1.5418 Å), from a DFT-relaxed cell (PBE, the Materials Project).
Lines closer than 0.1° are merged.

Most intense lines, 2θ from 10° to 90°, by angle:
2θ 35.6, rel. 100.0; 2θ 38.9, rel. 76.0; 2θ 41.0, rel. 62.8; 2θ 47.7, rel. 43.3; 2θ 64.7, rel. 33.1; 2θ 75.3, rel. 24.8

Structural model:
```
HfGeOs
1.0
6.732 0.000 0.000
-3.366 5.830 0.000
0.000 0.000 3.811
Hf Ge Os
3 3 3
Direct
0.000 0.417 0.000 Hf
0.417 0.000 0.000 Hf
0.583 0.583 0.000 Hf
0.000 0.000 0.000 Ge
0.333 0.667 0.500 Ge
0.667 0.333 0.500 Ge
0.000 0.754 0.500 Os
0.246 0.246 0.500 Os
0.754 0.000 0.500 Os
```

***

Record 3
Computed powder diffraction line list of HfGePd for Cu Kα (λ = 1.5418 Å), from a DFT-relaxed cell (PBE, the Materials Project).
Lines closer than 0.1° are merged.

Most intense lines, 2θ from 10° to 90°, by angle:
2θ 35.0, rel. 40.6; 2θ 35.1, rel. 100.0; 2θ 35.9, rel. 20.9; 2θ 38.4, rel. 77.6; 2θ 38.6, rel. 36.8; 2θ 45.7, rel. 45.4

Structural model:
```
HfGePd
1.0
6.713 0.000 0.000
0.000 3.970 0.000
-0.021 0.000 11.541
Hf Ge Pd
6 6 6
Direct
0.030 0.250 0.208 Hf
0.339 0.750 0.579 Hf
0.468 0.750 0.878 Hf
0.532 0.250 0.122 Hf
0.661 0.250 0.421 Hf
0.970 0.750 0.792 Hf
0.249 0.750 0.084 Ge
0.251 0.250 0.416 Ge
0.261 0.250 0.750 Ge
0.739 0.750 0.250 Ge
0.749 0.750 0.584 Ge
0.751 0.250 0.916 Ge
0.003 0.250 0.591 Pd
0.143 0.250 0.959 Pd
0.372 0.750 0.294 Pd
0.628 0.250 0.706 Pd
0.857 0.750 0.041 Pd
0.997 0.750 0.409 Pd
```

***

Record 4
Computed powder diffraction line list of Hf9Re4Ge for Cu Kα (λ = 1.5418 Å), from a DFT-relaxed cell (PBE, the Materials Project).
Lines closer than 0.1° are merged.

Most intense lines, 2θ from 10° to 90°, by angle:
2θ 11.9, rel. 24.8; 2θ 37.7, rel. 59.3; 2θ 38.1, rel. 100.0; 2θ 39.4, rel. 38.5; 2θ 42.1, rel. 23.5; 2θ 65.5, rel. 24.7

Structural model:
```
Hf9Re4Ge
1.0
8.586 0.000 0.000
-4.293 7.436 0.000
0.000 0.000 8.701
Hf Re Ge
18 8 2
Direct
0.081 0.541 0.250 Hf
0.195 0.390 0.544 Hf
0.195 0.390 0.956 Hf
0.195 0.805 0.544 Hf
0.195 0.805 0.956 Hf
0.390 0.195 0.044 Hf
0.390 0.195 0.456 Hf
0.459 0.541 0.250 Hf
0.459 0.919 0.250 Hf
0.541 0.081 0.750 Hf
0.541 0.459 0.750 Hf
0.610 0.805 0.544 Hf
0.610 0.805 0.956 Hf
0.805 0.195 0.044 Hf
0.805 0.195 0.456 Hf
0.805 0.610 0.044 Hf
0.805 0.610 0.456 Hf
0.919 0.459 0.750 Hf
0.000 0.000 0.000 Re
0.000 0.000 0.500 Re
0.109 0.217 0.250 Re
0.109 0.891 0.250 Re
0.217 0.109 0.750 Re
0.783 0.891 0.250 Re
0.891 0.109 0.750 Re
0.891 0.783 0.750 Re
0.333 0.667 0.750 Ge
0.667 0.333 0.250 Ge
```

***

Record 5
Computed powder diffraction line list of HfGe2Rh for Cu Kα (λ = 1.5418 Å), from a DFT-relaxed cell (PBE, the Materials Project).
Lines closer than 0.1° are merged.

Most intense lines, 2θ from 10° to 90°, by angle:
2θ 35.3, rel. 48.5; 2θ 37.5, rel. 100.0; 2θ 38.7, rel. 61.0; 2θ 39.0, rel. 80.8; 2θ 39.6, rel. 34.4; 2θ 40.8, rel. 42.7

Structural model:
```
HfGe2Rh
1.0
9.314 0.000 0.000
0.000 10.567 0.000
0.000 0.000 8.083
Hf Ge Rh
12 24 12
Direct
0.165 0.182 0.000 Hf
0.170 0.454 0.244 Hf
0.170 0.454 0.756 Hf
0.330 0.954 0.244 Hf
0.330 0.954 0.756 Hf
0.335 0.682 0.000 Hf
0.665 0.318 0.000 Hf
0.670 0.046 0.244 Hf
0.670 0.046 0.756 Hf
0.830 0.546 0.244 Hf
0.830 0.546 0.756 Hf
0.835 0.818 0.000 Hf
0.038 0.615 0.000 Ge
0.047 0.612 0.500 Ge
0.133 0.901 0.000 Ge
0.139 0.905 0.500 Ge
0.155 0.183 0.348 Ge
0.155 0.183 0.652 Ge
0.345 0.683 0.348 Ge
0.345 0.683 0.652 Ge
0.361 0.405 0.500 Ge
0.367 0.401 0.000 Ge
0.453 0.112 0.500 Ge
0.462 0.115 0.000 Ge
0.538 0.885 0.000 Ge
0.547 0.888 0.500 Ge
0.633 0.599 0.000 Ge
0.639 0.595 0.500 Ge
0.655 0.317 0.348 Ge
0.655 0.317 0.652 Ge
0.845 0.817 0.348 Ge
0.845 0.817 0.652 Ge
0.861 0.095 0.500 Ge
0.867 0.099 0.000 Ge
0.953 0.388 0.500 Ge
0.962 0.385 0.000 Ge
0.000 0.000 0.248 Rh
0.000 0.000 0.752 Rh
0.099 0.745 0.250 Rh
0.099 0.745 0.750 Rh
0.401 0.245 0.250 Rh
0.401 0.245 0.750 Rh
0.500 0.500 0.248 Rh
0.500 0.500 0.752 Rh
0.599 0.755 0.250 Rh
0.599 0.755 0.750 Rh
0.901 0.255 0.250 Rh
0.901 0.255 0.750 Rh
```